# 1
Diffraction record for MgCo3Ge. The PXRD pattern is simulated, not measured: it uses DFT lattice parameters and positions (GGA-PBE) and Cu Ka.

Atomic structure:
a b c (Å): 4.770 6.660 8.585
angles (deg): 90.00 90.00 90.00
Space group Imma (No. 74)
One atom of each set of equivalent atoms:
Mg (0.000, 0.250, 0.007) (multiplicity 4)
Co (0.000, 0.250, 0.307) (multiplicity 4)
Co (0.250, 0.069, 0.750) (multiplicity 8)
Ge (0.000, 0.000, 0.500) (multiplicity 4)

Top 12 peaks for 2θ = 10–80°, in order of rising 2θ:
| 2θ/deg | I (rel.) |
| --- | --- |
| 20.7 | 28 |
| 21.3 | 51 |
| 34.5 | 38 |
| 41.6 | 43 |
| 42.1 | 100 |
| 43.4 | 49 |
| 45.9 | 63 |
| 50.6 | 14 |
| 51.7 | 67 |
| 52.1 | 18 |
| 73.9 | 14 |
| 77.8 | 16 |

# 2
Diffraction record for Er2Al2Ge2C. The PXRD pattern is simulated, not measured: it uses DFT lattice parameters and positions (GGA-PBE) and Cu Ka.

Atomic structure:
a b c (Å): 4.125 4.125 14.750
angles (deg): 90.00 90.00 90.00
Space group I4/mmm (No. 139)
One atom of each set of equivalent atoms:
Er (0.000, 0.000, 0.161) (multiplicity 4)
Al (0.000, 0.500, 0.000) (multiplicity 4)
Ge (0.000, 0.000, 0.367) (multiplicity 4)
C (0.000, 0.000, 0.000) (multiplicity 2)

Top 12 peaks for 2θ = 10–80°, in order of rising 2θ:
| 2θ/deg | I (rel.) |
| --- | --- |
| 24.1 | 39 |
| 28.2 | 48 |
| 30.7 | 100 |
| 33.0 | 35 |
| 36.6 | 31 |
| 37.5 | 23 |
| 39.4 | 83 |
| 43.9 | 58 |
| 48.4 | 34 |
| 50.7 | 22 |
| 58.4 | 31 |
| 77.6 | 24 |

# 3
Diffraction record for BaNaSrCd. The PXRD pattern is simulated, not measured: it uses DFT lattice parameters and positions (GGA-PBE) and Cu Ka.

Atomic structure:
a b c (Å): 4.201 4.201 9.447
angles (deg): 90.00 90.00 90.00
Space group P4mm (No. 99)
One atom of each set of equivalent atoms:
Ba (0.000, 0.000, 0.000) (multiplicity 1)
Na (0.500, 0.500, 0.700) (multiplicity 1)
Sr (0.000, 0.000, 0.425) (multiplicity 1)
Cd (0.500, 0.500, 0.225) (multiplicity 1)

Top 12 peaks for 2θ = 10–80°, in order of rising 2θ:
| 2θ/deg | I (rel.) |
| --- | --- |
| 28.4 | 100 |
| 30.1 | 49 |
| 31.6 | 14 |
| 35.6 | 27 |
| 43.1 | 18 |
| 49.3 | 13 |
| 52.4 | 36 |
| 57.1 | 13 |
| 57.8 | 10 |
| 58.8 | 8 |
| 70.1 | 8 |
| 70.9 | 8 |

# 4
Diffraction record for Ba2Ac7. The PXRD pattern is simulated, not measured: it uses DFT lattice parameters and positions (GGA-PBE) and Cu Ka.

Atomic structure:
a b c (Å): 7.0372 7.0372 9.9750
angles (deg): 90.00 90.00 120.00
Space group P-31m (No. 162)
One atom of each set of equivalent atoms:
Ba (0.3333, 0.6667, 0.0000) (multiplicity 2)
Ac (0.0000, 0.0000, 0.0000) (multiplicity 1)
Ac (0.0000, 0.3266, 0.6586) (multiplicity 6)

Top 12 peaks for 2θ = 10–80°, in order of rising 2θ:
| 2θ/deg | I (rel.) |
| --- | --- |
| 14.5 | 1 |
| 26.9 | 100 |
| 31.1 | 53 |
| 44.6 | 39 |
| 52.8 | 48 |
| 55.3 | 3 |
| 55.4 | 11 |
| 64.9 | 6 |
| 71.5 | 10 |
| 71.6 | 10 |
| 73.6 | 9 |
| 73.7 | 9 |